Structure and calculated powder diffractogram of LiCo8O9 (a DFT-relaxed cell (GGA+U, the Materials Project); copper Kα).
Kinematic intensities with the Lorentz-polarization factor, no thermal factor.

Most intense lines, 10° ≤ 2θ ≤ 90°, in order of falling intensity:
two_theta, d (Å), I_rel
36.60, 2.455, 100
42.33, 2.135, 73
42.40, 2.132, 72
42.67, 2.119, 70
61.58, 1.506, 61
36.43, 2.466, 34
61.35, 1.511, 21
61.88, 1.500, 20
61.75, 1.502, 20
77.77, 1.228, 19

```
18
Lattice="5.215 0.000 0.000 0.837 5.149 0.000 0.811 1.611 6.467" Properties=species:S:1:pos:R:3 pbc="T T T"
Li 0.000 0.000 0.000
Co 1.668 4.118 5.052
Co 1.700 1.463 3.601
Co 2.570 3.996 2.120
Co 2.570 1.313 0.700
Co 4.293 5.446 5.767
Co 4.293 2.764 4.347
Co 5.163 5.297 2.866
Co 5.195 2.641 1.415
O 0.824 3.380 3.234
O 0.864 0.763 1.834
O 1.729 3.193 0.362
O 2.579 2.198 5.365
O 3.414 4.694 3.957
O 3.449 2.065 2.510
O 4.285 4.562 1.102
O 5.134 3.566 6.105
O 5.999 5.997 4.633
```